Starting from a DFT-relaxed cell (PBE, Alexandria), the X-ray powder pattern of Ce8Tc3RuBr4 was calculated for Cu Kα X-rays.

Atomic structure:
Cell: 8.0334 8.0334 23.1170 Å, 90.00 90.00 120.00°
Space group R-3m (No. 166, hexagonal axes)
Symmetry-distinct sites (fractional):
Ce (0.0000, 0.0000, 0.2322)
Ce (0.0014, 0.5007, 0.7680)
Tc (0.0000, 0.5000, 0.5000)
Ru (0.0000, 0.0000, 0.5000)
Br (0.0000, 0.0000, 0.0000)
Br (0.0000, 0.5000, 0.0000)

Peak list (10 most intense, 5 to 70 degrees two-theta, by angle)
hkl 0 0 3, 11.5 deg, I 21
hkl 0 2 4, 30.0 deg, I 100
hkl 2 0 5, 32.2 deg, I 7
hkl 0 2 7, 37.6 deg, I 14
hkl 2 0 8, 40.6 deg, I 29
hkl 2 2 0, 45.1 deg, I 36
hkl 2 0 11, 50.8 deg, I 10
hkl 4 0 4, 55.1 deg, I 18
hkl 0 2 13, 58.3 deg, I 13
hkl 0 4 8, 62.3 deg, I 10